For MnBe6Co, a structure optimized by DFT (GGA-PBE) gives the theoretical PXRD pattern in this record (copper Kα).
Intensities are scaled so that the largest is 1000.

Peak list (5 most intense, 5 to 70 degrees two-theta, sorted by position)
Position (°2θ)	I/Imax	h k l
30.3	1000	1 1 0
43.4	270	2 0 0
48.8	26	2 0 1
53.9	543	2 1 1
63.1	107	2 2 0

Structural model:
a = 4.1697 Å, b = 4.1697 Å, c = 4.1697 Å
α = 90.00°, β = 90.00°, γ = 90.00°
Element x y z (fractional)
Mn: 0.0000 0.0000 0.0000
Be: 0.0000 0.2529 0.5000
Be: 0.0000 0.7471 0.5000
Be: 0.2529 0.5000 0.0000
Be: 0.5000 0.0000 0.2529
Be: 0.5000 0.0000 0.7471
Be: 0.7471 0.5000 0.0000
Co: 0.5000 0.5000 0.5000